(1)
The following is a calculated X-ray powder pattern of Y4MgBi4O12. It was derived from a DFT-relaxed cell (PBE, Alexandria), using copper Kα.

Structural model:
```
data_Y4MgBi4O12
_space_group_name_H-M_alt 'P 1'
_space_group_IT_number 1
_space_group_name_Hall 'P 1'
_cell_length_a 5.7625
_cell_length_b 5.8914
_cell_length_c 11.1337
_cell_angle_alpha 79.51
_cell_angle_beta 85.98
_cell_angle_gamma 79.76
loop_
_atom_site_label
_atom_site_type_symbol
_atom_site_fract_x
_atom_site_fract_y
_atom_site_fract_z
Y1 Y 0.0000 0.0000 0.0000
Y2 Y 0.1073 0.9298 0.4831
Y3 Y 0.4664 0.3715 0.4714
Y4 Y 0.5745 0.4682 0.0093
Mg1 Mg 0.9386 0.1579 0.7115
Bi1 Bi 0.0356 0.4851 0.2310
Bi2 Bi 0.1578 0.5207 0.8094
Bi3 Bi 0.4994 0.8820 0.2140
Bi4 Bi 0.5608 0.8050 0.6940
O1 O 0.1876 0.6775 0.3529
O2 O 0.2624 0.2767 0.9881
O3 O 0.2735 0.1036 0.6299
O4 O 0.2805 0.7170 0.0943
O5 O 0.3060 0.1594 0.3644
O6 O 0.3369 0.6296 0.5967
O7 O 0.7000 0.5862 0.3402
O8 O 0.7568 0.1745 0.1302
O9 O 0.7797 0.7105 0.0856
O10 O 0.7867 0.1425 0.5597
O11 O 0.8135 0.3331 0.8525
O12 O 0.9360 0.8576 0.8285
```

Main lines, in order of falling intensity (2θ = 15–90°):
(1 1 -2), 27.99°, d 3.187, rel. 100
(0 1 2), 20.45°, d 4.343, rel. 80
(1 -1 2), 30.20°, d 2.959, rel. 76
(-1 1 2), 27.80°, d 3.209, rel. 63
(1 2 0), 32.70°, d 2.739, rel. 56
(0 0 2), 16.21°, d 5.469, rel. 45
(1 1 2), 23.75°, d 3.746, rel. 38
(0 2 5), 47.80°, d 1.903, rel. 35
(-1 1 3), 32.85°, d 2.727, rel. 35
(2 0 0), 31.58°, d 2.833, rel. 34
(1 1 3), 29.11°, d 3.068, rel. 31
(0 1 0), 15.52°, d 5.710, rel. 31

(2)
The following is a calculated X-ray powder pattern of MgBi2P2Pd7. It was derived from a DFT-relaxed cell (PBE, Alexandria), using copper Kα.

Structural model:
```
data_MgBi2P2Pd7
_space_group_name_H-M_alt 'C 1 2/m 1'
_space_group_IT_number 12
_space_group_name_Hall '-C 2y'
_cell_length_a 5.7718
_cell_length_b 5.7355
_cell_length_c 13.2815
_cell_angle_alpha 90.00
_cell_angle_beta 97.96
_cell_angle_gamma 90.00
loop_
_atom_site_label
_atom_site_type_symbol
_atom_site_fract_x
_atom_site_fract_y
_atom_site_fract_z
Mg1 Mg 0.0000 0.0000 0.0000
Bi1 Bi 0.1163 0.0000 0.3749
P1 P 0.0771 0.5000 0.2429
Pd1 Pd 0.0000 0.5000 0.0000
Pd2 Pd 0.1425 0.5000 0.4231
Pd3 Pd 0.2020 0.2500 0.8485
```

Main lines, in order of falling intensity (2θ = 15–90°):
(0 2 3), 37.47°, d 2.400, rel. 100
(2 2 -1), 44.61°, d 2.031, rel. 91
(2 0 2), 35.95°, d 2.498, rel. 86
(0 2 1), 31.94°, d 2.802, rel. 84
(2 0 -3), 35.02°, d 2.562, rel. 73
(0 0 4), 27.12°, d 3.288, rel. 72
(0 0 5), 34.09°, d 2.630, rel. 61
(1 1 4), 36.86°, d 2.438, rel. 50
(2 2 3), 51.56°, d 1.773, rel. 48
(2 0 -2), 32.38°, d 2.765, rel. 44
(2 2 0), 44.78°, d 2.024, rel. 35
(1 1 1), 23.62°, d 3.767, rel. 35

(3)
The following is a calculated X-ray powder pattern of Mg8Bi2Pb3. It was derived from a DFT-relaxed cell (PBE, Alexandria), using copper Kα.

Structural model:
```
data_Mg8Bi2Pb3
_space_group_name_H-M_alt 'C m m m'
_space_group_IT_number 65
_space_group_name_Hall '-C 2 2'
_cell_length_a 9.6837
_cell_length_b 16.0202
_cell_length_c 4.8192
_cell_angle_alpha 90.00
_cell_angle_beta 90.00
_cell_angle_gamma 90.00
loop_
_atom_site_label
_atom_site_type_symbol
_atom_site_fract_x
_atom_site_fract_y
_atom_site_fract_z
Mg1 Mg 0.0000 0.1230 0.0000
Mg2 Mg 0.0000 0.3708 0.0000
Mg3 Mg 0.2446 0.1241 0.5000
Bi1 Bi 0.0000 0.2463 0.5000
Pb1 Pb 0.0000 0.5000 0.5000
Pb2 Pb 0.2373 0.0000 0.0000
```

Main lines, in order of falling intensity (2θ = 15–90°):
(2 4 1), 34.51°, d 2.599, rel. 100
(2 2 0), 21.48°, d 4.137, rel. 81
(2 0 1), 26.09°, d 3.416, rel. 44
(0 4 0), 22.20°, d 4.005, rel. 32
(0 0 2), 37.32°, d 2.410, rel. 21
(4 0 0), 37.14°, d 2.421, rel. 20
(0 6 1), 38.53°, d 2.337, rel. 19
(2 4 3), 65.51°, d 1.425, rel. 16
(6 4 1), 65.27°, d 1.430, rel. 15
(4 0 2), 53.67°, d 1.708, rel. 14
(2 8 1), 53.01°, d 1.728, rel. 14
(2 2 2), 43.44°, d 2.083, rel. 13

(4)
The following is a calculated X-ray powder pattern of Mg2Bi3Pb3. It was derived from a DFT-relaxed cell (PBE, Alexandria), using copper Kα.

Structural model:
```
data_Mg2Bi3Pb3
_space_group_name_H-M_alt 'P m m n'
_space_group_IT_number 59
_cell_length_a 4.7407
_cell_length_b 13.6917
_cell_length_c 7.7903
_cell_angle_alpha 90.00
_cell_angle_beta 90.00
_cell_angle_gamma 90.00
loop_
_space_group_symop_operation_xyz
'x,y,z'
'-x,-y,-z'
'-x+1/2,-y+1/2,z'
'x+1/2,y+1/2,-z'
'x+1/2,-y,-z'
'-x+1/2,y,z'
'-x,y+1/2,-z'
'x,-y+1/2,z'
loop_
_atom_site_label
_atom_site_type_symbol
_atom_site_fract_x
_atom_site_fract_y
_atom_site_fract_z
Mg1 Mg 0.2500 0.0352 0.1372
Bi1 Bi 0.2500 0.0910 0.7553
Bi2 Bi 0.2500 0.2500 0.2371
Pb1 Pb 0.2500 0.6219 0.5488
Pb2 Pb 0.2500 0.7500 0.0644
```

Main lines, in order of falling intensity (2θ = 15–90°):
(1 1 2), 30.41°, d 2.939, rel. 100
(1 4 1), 34.30°, d 2.614, rel. 57
(2 0 0), 37.96°, d 2.371, rel. 44
(1 2 1), 25.56°, d 3.486, rel. 43
(0 3 3), 39.95°, d 2.257, rel. 43
(1 3 1), 29.49°, d 3.029, rel. 42
(0 4 1), 28.48°, d 3.134, rel. 34
(2 3 3), 56.28°, d 1.635, rel. 32
(0 3 1), 22.58°, d 3.938, rel. 28
(1 7 2), 56.08°, d 1.640, rel. 24
(1 4 5), 69.15°, d 1.359, rel. 17
(2 4 1), 48.13°, d 1.890, rel. 17

(5)
The following is a calculated X-ray powder pattern of MgBi3Pb4. It was derived from a DFT-relaxed cell (PBE, Alexandria), using copper Kα.

Structural model:
```
data_MgBi3Pb4
_space_group_name_H-M_alt 'C 1 2/m 1'
_space_group_IT_number 12
_space_group_name_Hall '-C 2y'
_cell_length_a 13.5579
_cell_length_b 5.4228
_cell_length_c 7.6979
_cell_angle_alpha 90.00
_cell_angle_beta 109.03
_cell_angle_gamma 90.00
loop_
_atom_site_label
_atom_site_type_symbol
_atom_site_fract_x
_atom_site_fract_y
_atom_site_fract_z
Mg1 Mg 0.0000 0.0000 0.0000
Bi1 Bi 0.0000 0.5000 0.5000
Bi2 Bi 0.1165 0.5000 0.1755
Pb1 Pb 0.1474 0.0000 0.4989
Pb2 Pb 0.2335 0.5000 0.8384
```

Main lines, in order of falling intensity (2θ = 15–90°):
(3 1 -2), 31.29°, d 2.859, rel. 100
(3 1 1), 32.10°, d 2.788, rel. 99
(0 0 3), 37.07°, d 2.425, rel. 55
(0 2 0), 33.04°, d 2.711, rel. 49
(6 2 -1), 52.74°, d 1.736, rel. 30
(0 2 3), 50.48°, d 1.808, rel. 28
(6 0 -1), 39.92°, d 2.258, rel. 24
(2 0 1), 21.25°, d 4.181, rel. 21
(3 3 1), 58.42°, d 1.580, rel. 19
(3 3 -2), 57.91°, d 1.592, rel. 18
(1 1 0), 17.76°, d 4.994, rel. 16
(3 1 -5), 62.74°, d 1.481, rel. 15

(6)
The following is a calculated X-ray powder pattern of MgBiPb2. It was derived from a DFT-relaxed cell (PBE, Alexandria), using copper Kα.

Structural model:
```
data_MgBiPb2
_space_group_name_H-M_alt 'P 1 21/m 1'
_space_group_IT_number 11
_space_group_name_Hall '-P 2yb'
_cell_length_a 3.5368
_cell_length_b 4.6128
_cell_length_c 14.6076
_cell_angle_alpha 90.00
_cell_angle_beta 90.16
_cell_angle_gamma 90.00
loop_
_atom_site_label
_atom_site_type_symbol
_atom_site_fract_x
_atom_site_fract_y
_atom_site_fract_z
Mg1 Mg 0.2494 0.2500 0.4383
Bi1 Bi 0.2513 0.2500 0.6481
Pb1 Pb 0.2493 0.2500 0.9365
Pb2 Pb 0.2529 0.2500 0.1892
```

Main lines, in order of falling intensity (2θ = 15–90°):
(0 1 4), 31.24°, d 2.863, rel. 100
(1 1 0), 31.88°, d 2.807, rel. 97
(1 0 4), 35.33°, d 2.541, rel. 54
(0 1 3), 26.62°, d 3.349, rel. 38
(1 2 4), 53.67°, d 1.708, rel. 33
(0 2 0), 39.05°, d 2.306, rel. 28
(0 1 2), 22.80°, d 3.900, rel. 16
(2 2 0), 66.64°, d 1.403, rel. 13
(2 0 0), 51.69°, d 1.768, rel. 13
(1 3 0), 66.28°, d 1.410, rel. 12
(2 1 -4), 61.59°, d 1.506, rel. 12
(1 1 -7), 54.76°, d 1.676, rel. 12

(7)
The following is a calculated X-ray powder pattern of Mg2Bi4Pb3. It was derived from a DFT-relaxed cell (PBE, Alexandria), using copper Kα.

Structural model:
```
data_Mg2Bi4Pb3
_space_group_name_H-M_alt 'P -1'
_space_group_IT_number 2
_space_group_name_Hall '-P 1'
_cell_length_a 4.8272
_cell_length_b 6.5394
_cell_length_c 9.7760
_cell_angle_alpha 77.86
_cell_angle_beta 78.97
_cell_angle_gamma 68.80
loop_
_atom_site_label
_atom_site_type_symbol
_atom_site_fract_x
_atom_site_fract_y
_atom_site_fract_z
Mg1 Mg 0.1313 0.0618 0.1164
Bi1 Bi 0.1729 0.2987 0.8034
Bi2 Bi 0.4221 0.1887 0.3145
Pb1 Pb 0.2058 0.7300 0.4552
Pb2 Pb 0.5000 0.5000 0.0000
```

Main lines, in order of falling intensity (2θ = 15–90°):
(1 0 3), 32.57°, d 2.749, rel. 100
(-1 1 1), 30.22°, d 2.957, rel. 80
(1 1 -2), 30.99°, d 2.886, rel. 70
(1 2 2), 31.18°, d 2.869, rel. 63
(0 1 4), 38.62°, d 2.331, rel. 46
(1 1 2), 24.31°, d 3.662, rel. 43
(0 1 -2), 25.63°, d 3.475, rel. 36
(2 1 1), 37.32°, d 2.410, rel. 35
(0 2 0), 29.67°, d 3.011, rel. 30
(2 0 1), 40.32°, d 2.237, rel. 20
(0 1 -4), 43.08°, d 2.100, rel. 17
(2 0 -3), 53.14°, d 1.723, rel. 16

(8)
The following is a calculated X-ray powder pattern of ThMgBiPb. It was derived from a DFT-relaxed cell (PBE, Alexandria), using copper Kα.

Structural model:
```
data_ThMgBiPb
_space_group_name_H-M_alt 'P m m m'
_space_group_IT_number 47
_space_group_name_Hall '-P 2 2'
_cell_length_a 4.3948
_cell_length_b 5.0643
_cell_length_c 5.1200
_cell_angle_alpha 90.00
_cell_angle_beta 90.00
_cell_angle_gamma 90.00
loop_
_atom_site_label
_atom_site_type_symbol
_atom_site_fract_x
_atom_site_fract_y
_atom_site_fract_z
Th1 Th 0.0000 0.0000 0.0000
Mg1 Mg 0.0000 0.5000 0.5000
Bi1 Bi 0.5000 0.5000 0.0000
Pb1 Pb 0.5000 0.0000 0.5000
```

Main lines, in order of falling intensity (2θ = 15–90°):
(1 1 1), 32.14°, d 2.785, rel. 100
(0 0 2), 35.05°, d 2.560, rel. 20
(0 2 0), 35.45°, d 2.532, rel. 19
(1 1 3), 61.05°, d 1.518, rel. 17
(1 3 1), 61.58°, d 1.506, rel. 16
(2 0 0), 41.08°, d 2.197, rel. 15
(0 2 2), 50.71°, d 1.800, rel. 14
(2 0 2), 55.08°, d 1.667, rel. 13
(2 2 2), 67.23°, d 1.393, rel. 13
(3 1 1), 69.24°, d 1.357, rel. 12
(2 2 0), 55.36°, d 1.660, rel. 11
(0 0 1), 17.32°, d 5.120, rel. 10

(9)
The following is a calculated X-ray powder pattern of Mg3BiPd7. It was derived from a DFT-relaxed cell (PBE, Alexandria), using copper Kα.

Structural model:
```
data_Mg3BiPd7
_space_group_name_H-M_alt 'C 1 2/m 1'
_space_group_IT_number 12
_space_group_name_Hall '-C 2y'
_cell_length_a 8.7212
_cell_length_b 9.5243
_cell_length_c 5.2498
_cell_angle_alpha 90.00
_cell_angle_beta 113.76
_cell_angle_gamma 90.00
loop_
_atom_site_label
_atom_site_type_symbol
_atom_site_fract_x
_atom_site_fract_y
_atom_site_fract_z
Mg1 Mg 0.0000 0.0000 0.0000
Mg2 Mg 0.0000 0.2243 0.5000
Bi1 Bi 0.0000 0.5000 0.0000
Pd1 Pd 0.0000 0.5000 0.5000
Pd2 Pd 0.1769 0.2364 0.1882
Pd3 Pd 0.1849 0.0000 0.5429
```

Main lines, in order of falling intensity (2θ = 15–90°):
(2 0 -2), 35.00°, d 2.564, rel. 100
(2 2 1), 39.51°, d 2.281, rel. 74
(0 4 0), 37.78°, d 2.381, rel. 72
(0 2 2), 42.13°, d 2.145, rel. 64
(2 2 0), 29.20°, d 3.059, rel. 46
(2 0 -1), 22.51°, d 3.951, rel. 41
(4 2 -1), 45.77°, d 1.982, rel. 37
(2 4 -2), 52.43°, d 1.745, rel. 30
(3 3 0), 44.42°, d 2.039, rel. 29
(3 1 -2), 40.28°, d 2.239, rel. 27
(3 3 -2), 48.85°, d 1.864, rel. 23
(1 1 -1), 19.66°, d 4.516, rel. 23

(10)
The following is a calculated X-ray powder pattern of MgBi6Pd12. It was derived from a DFT-relaxed cell (PBE, Alexandria), using copper Kα.

Structural model:
```
data_MgBi6Pd12
_space_group_name_H-M_alt 'R -3'
_space_group_IT_number 148
_space_group_name_Hall '-R 3'
_cell_length_a 12.1584
_cell_length_b 12.1584
_cell_length_c 8.8111
_cell_angle_alpha 90.00
_cell_angle_beta 90.00
_cell_angle_gamma 120.00
loop_
_atom_site_label
_atom_site_type_symbol
_atom_site_fract_x
_atom_site_fract_y
_atom_site_fract_z
Mg1 Mg 0.0000 0.0000 0.0000
Bi1 Bi 0.0471 0.2189 0.7351
Pd1 Pd 0.0485 0.2320 0.0852
Pd2 Pd 0.0571 0.2329 0.4156
```

Main lines, in order of falling intensity (2θ = 15–90°):
(1 4 0), 39.21°, d 2.298, rel. 100
(3 0 3), 40.03°, d 2.252, rel. 50
(2 2 3), 42.81°, d 2.112, rel. 47
(2 -1 3), 33.90°, d 2.645, rel. 43
(7 -5 3), 63.64°, d 1.462, rel. 26
(3 0 0), 25.38°, d 3.510, rel. 24
(5 -1 6), 77.07°, d 1.237, rel. 23
(8 -1 3), 75.46°, d 1.260, rel. 18
(2 1 1), 24.54°, d 3.627, rel. 17
(6 3 0), 71.06°, d 1.327, rel. 15
(3 6 3), 79.24°, d 1.209, rel. 11
(3 3 3), 55.06°, d 1.668, rel. 11

(11)
The following is a calculated X-ray powder pattern of MgBi3Pd7. It was derived from a DFT-relaxed cell (PBE, Alexandria), using copper Kα.

Structural model:
```
data_MgBi3Pd7
_space_group_name_H-M_alt 'C m c m'
_space_group_IT_number 63
_space_group_name_Hall '-C 2c 2'
_cell_length_a 3.6036
_cell_length_b 21.3356
_cell_length_c 10.8265
_cell_angle_alpha 90.00
_cell_angle_beta 90.00
_cell_angle_gamma 90.00
loop_
_atom_site_label
_atom_site_type_symbol
_atom_site_fract_x
_atom_site_fract_y
_atom_site_fract_z
Mg1 Mg 0.0000 0.0858 0.2500
Bi1 Bi 0.0000 0.0829 0.5634
Bi2 Bi 0.0000 0.2362 0.2500
Pd1 Pd 0.0000 0.2124 0.5721
Pd2 Pd 0.0000 0.3472 0.6095
Pd3 Pd 0.0000 0.3673 0.2500
Pd4 Pd 0.0000 0.4839 0.6247
```

Main lines, in order of falling intensity (2θ = 15–90°):
(1 1 3), 35.45°, d 2.532, rel. 100
(1 7 0), 38.69°, d 2.327, rel. 64
(0 8 3), 42.13°, d 2.145, rel. 39
(2 0 0), 50.64°, d 1.803, rel. 31
(2 8 3), 67.95°, d 1.380, rel. 19
(1 1 2), 30.08°, d 2.971, rel. 16
(1 9 5), 63.68°, d 1.461, rel. 16
(1 3 1), 28.98°, d 3.082, rel. 15
(0 6 4), 41.95°, d 2.153, rel. 15
(1 7 6), 65.45°, d 1.426, rel. 13
(0 2 2), 18.38°, d 4.827, rel. 13
(0 2 5), 42.61°, d 2.122, rel. 10

(12)
The following is a calculated X-ray powder pattern of PrMg2Bi2. It was derived from a DFT-relaxed cell (PBE, Alexandria), using copper Kα.

Structural model:
```
data_PrMg2Bi2
_space_group_name_H-M_alt 'C m c m'
_space_group_IT_number 63
_space_group_name_Hall '-C 2c 2'
_cell_length_a 4.5462
_cell_length_b 27.4214
_cell_length_c 4.5668
_cell_angle_alpha 90.00
_cell_angle_beta 90.00
_cell_angle_gamma 90.00
loop_
_atom_site_label
_atom_site_type_symbol
_atom_site_fract_x
_atom_site_fract_y
_atom_site_fract_z
Pr1 Pr 0.0000 0.1563 0.2500
Mg1 Mg 0.0000 0.0395 0.7500
Mg2 Mg 0.0000 0.4582 0.7500
Bi1 Bi 0.0000 0.2498 0.7500
Bi2 Bi 0.0000 0.3801 0.2500
```

Main lines, in order of falling intensity (2θ = 15–90°):
(1 5 1), 32.22°, d 2.778, rel. 100
(1 3 1), 29.39°, d 3.039, rel. 61
(0 8 0), 26.00°, d 3.428, rel. 23
(0 0 2), 39.46°, d 2.283, rel. 20
(2 0 0), 39.65°, d 2.273, rel. 20
(0 10 0), 32.66°, d 2.742, rel. 16
(2 0 2), 57.18°, d 1.611, rel. 14
(1 5 0), 25.45°, d 3.500, rel. 13
(3 5 1), 67.30°, d 1.391, rel. 13
(1 9 0), 35.47°, d 2.531, rel. 13
(1 5 3), 67.04°, d 1.396, rel. 12
(1 13 0), 47.53°, d 1.913, rel. 12